Structure and theoretical powder diffractogram of KVCo2Br8 (a crystal structure in Alexandria, relaxed with PBE; copper Kα).
Kinematic intensities with the Lorentz-polarization factor, no thermal factor.

Most intense lines, 10 to 90 degrees two-theta, sorted by position:
d = 4.529 Å, 2θ = 19.6°, I 23; d = 3.312 Å, 2θ = 26.9°, I 42; d = 3.126 Å, 2θ = 28.6°, I 100; d = 2.745 Å, 2θ = 32.6°, I 73; d = 1.983 Å, 2θ = 45.8°, I 37; d = 1.901 Å, 2θ = 47.8°, I 44; d = 1.701 Å, 2θ = 53.9°, I 16; d = 1.649 Å, 2θ = 55.8°, I 30; d = 1.624 Å, 2θ = 56.7°, I 13; d = 1.563 Å, 2θ = 59.1°, I 12

Structure:
Unit cell a=10.6376 b=10.6376 c=10.6376 alpha=36.07 beta=36.07 gamma=36.07
Positions (direct):
1 K 0.0000 0.0000 0.0000
2 V 0.5000 0.5000 0.5000
3 Co 0.2399 0.2399 0.2399
4 Co 0.7601 0.7601 0.7601
5 Br 0.1399 0.4376 0.7713
6 Br 0.2287 0.8601 0.5624
7 Br 0.3183 0.3183 0.3183
8 Br 0.4376 0.7713 0.1399
9 Br 0.5624 0.2287 0.8601
10 Br 0.6817 0.6817 0.6817
11 Br 0.7713 0.1399 0.4376
12 Br 0.8601 0.5624 0.2287